Record 1
Computed XRD peak list of Mg6BiBO8 for Cu Ka, from the GGA-PBE geometry in the Materials Project.

Cell and atoms:
Unit cell a=4.450 b=4.450 c=8.950 alpha=90.00 beta=90.00 gamma=90.00
Space group P4/mmm (No. 123)
One atom of each set of equivalent atoms:
1 Mg 0.000 0.000 0.000
2 Mg 0.000 0.500 0.235
3 Mg 0.500 0.500 0.000
4 Bi 0.000 0.000 0.500
5 B 0.500 0.500 0.500
6 O 0.000 0.000 0.231
7 O 0.000 0.500 0.000
8 O 0.000 0.500 0.500
9 O 0.500 0.500 0.229

Top 10 peaks for 5° ≤ 2θ ≤ 70°, low angle first:
- (0 0 1), 2θ 9.9, d = 8.950 Å, rel. 75
- (1 0 0), 2θ 20.0, d = 4.450 Å, rel. 64
- (1 0 1), 2θ 22.3, d = 3.984 Å, rel. 100
- (1 0 2), 2θ 28.3, d = 3.153 Å, rel. 76
- (1 1 1), 2θ 30.1, d = 2.968 Å, rel. 33
- (1 1 2), 2θ 34.9, d = 2.574 Å, rel. 47
- (0 0 4), 2θ 40.3, d = 2.237 Å, rel. 33
- (2 0 0), 2θ 40.5, d = 2.225 Å, rel. 69
- (2 1 1), 2θ 46.8, d = 1.943 Å, rel. 31
- (2 0 4), 2θ 58.5, d = 1.578 Å, rel. 40

Record 2
Computed XRD peak list of Mg14BiBO16 for Cu Ka, from the GGA-PBE geometry in the Materials Project.

Cell and atoms:
Unit cell a=8.731 b=8.731 c=4.373 alpha=90.00 beta=90.00 gamma=90.00
Space group P4/mmm (No. 123)
One atom of each set of equivalent atoms:
1 Mg 0.000 0.243 0.000
2 Mg 0.000 0.500 0.500
3 Mg 0.233 0.500 0.000
4 Mg 0.237 0.237 0.500
5 Bi 0.500 0.500 0.500
6 B 0.000 0.000 0.500
7 O 0.000 0.000 0.000
8 O 0.000 0.265 0.500
9 O 0.000 0.500 0.000
10 O 0.235 0.500 0.500
11 O 0.251 0.251 0.000
12 O 0.500 0.500 0.000

Top 10 peaks for 5° ≤ 2θ ≤ 70°, low angle first:
- (1 0 0), 2θ 10.1, d = 8.731 Å, rel. 86
- (1 1 0), 2θ 14.3, d = 6.174 Å, rel. 26
- (2 0 0), 2θ 20.3, d = 4.368 Å, rel. 25
- (2 1 0), 2θ 22.8, d = 3.907 Å, rel. 72
- (3 0 0), 2θ 30.7, d = 2.912 Å, rel. 54
- (2 2 1), 2θ 35.6, d = 2.522 Å, rel. 29
- (3 0 1), 2θ 37.1, d = 2.422 Å, rel. 22
- (0 0 2), 2θ 41.3, d = 2.184 Å, rel. 100
- (4 1 1), 2θ 47.7, d = 1.907 Å, rel. 22
- (4 0 2), 2θ 59.9, d = 1.544 Å, rel. 58

Record 3
Computed XRD peak list of Mg6BiBO8 for Cu Ka, from the GGA-PBE geometry in the Materials Project.

Cell and atoms:
Unit cell a=4.459 b=4.459 c=8.944 alpha=90.00 beta=90.00 gamma=90.00
Space group P4/mmm (No. 123)
One atom of each set of equivalent atoms:
1 Mg 0.000 0.000 0.000
2 Mg 0.000 0.000 0.500
3 Mg 0.000 0.500 0.224
4 Bi 0.500 0.500 0.500
5 B 0.500 0.500 0.000
6 O 0.000 0.000 0.251
7 O 0.000 0.500 0.000
8 O 0.000 0.500 0.500
9 O 0.500 0.500 0.233

Top 10 peaks for 5° ≤ 2θ ≤ 70°, low angle first:
- (0 0 1), 2θ 9.9, d = 8.944 Å, rel. 100
- (0 0 2), 2θ 19.9, d = 4.463 Å, rel. 60
- (1 0 1), 2θ 22.3, d = 3.990 Å, rel. 84
- (1 0 2), 2θ 28.3, d = 3.156 Å, rel. 51
- (0 0 3), 2θ 30.0, d = 2.976 Å, rel. 67
- (1 1 2), 2θ 34.8, d = 2.577 Å, rel. 40
- (1 0 3), 2θ 36.2, d = 2.478 Å, rel. 30
- (0 0 4), 2θ 40.3, d = 2.236 Å, rel. 28
- (2 0 0), 2θ 40.5, d = 2.229 Å, rel. 61
- (2 2 0), 2θ 58.5, d = 1.578 Å, rel. 53

Record 4
Computed XRD peak list of Mg14BiBO16 for Cu Ka, from the GGA-PBE geometry in the Materials Project.

Cell and atoms:
Unit cell a=4.413 b=8.581 c=8.777 alpha=90.00 beta=90.00 gamma=90.00
Space group Pmmm (No. 47)
One atom of each set of equivalent atoms:
1 Mg 0.000 0.000 0.000
2 Mg 0.000 0.241 0.241
3 Mg 0.000 0.500 0.000
4 Mg 0.500 0.000 0.251
5 Mg 0.500 0.233 0.500
6 Mg 0.500 0.247 0.000
7 Mg 0.500 0.500 0.238
8 Bi 0.000 0.500 0.500
9 B 0.000 0.000 0.500
10 O 0.000 0.000 0.228
11 O 0.000 0.155 0.500
12 O 0.000 0.251 0.000
13 O 0.000 0.500 0.228
14 O 0.500 0.000 0.000
15 O 0.500 0.000 0.500
16 O 0.500 0.251 0.253
17 O 0.500 0.500 0.000
18 O 0.500 0.500 0.500

Top 10 peaks for 5° ≤ 2θ ≤ 70°, low angle first:
- (0 0 1), 2θ 10.1, d = 8.777 Å, rel. 78
- (0 1 0), 2θ 10.3, d = 8.581 Å, rel. 96
- (0 1 1), 2θ 14.4, d = 6.136 Å, rel. 99
- (1 1 1), 2θ 24.9, d = 3.582 Å, rel. 73
- (0 0 3), 2θ 30.6, d = 2.925 Å, rel. 62
- (1 2 2), 2θ 35.6, d = 2.519 Å, rel. 93
- (2 0 0), 2θ 40.9, d = 2.206 Å, rel. 100
- (0 0 4), 2θ 41.1, d = 2.194 Å, rel. 95
- (0 4 0), 2θ 42.1, d = 2.145 Å, rel. 78
- (2 0 4), 2θ 59.4, d = 1.556 Å, rel. 57